Simulated X-ray diffraction stick pattern of K2LaNiF8 for λ = 1.5418 Å (Cu Kα), from DFT lattice parameters and positions (PBE+U).
Lines closer than 0.1° are merged.

a = 4.448 Å, b = 7.270 Å, c = 6.078 Å
α = 90.00°, β = 95.31°, γ = 90.00°
Fractional positions:
1 K 0.000 0.228 0.000
2 K 0.000 0.772 0.000
3 La 0.500 0.500 0.500
4 Ni 0.500 0.000 0.500
5 F 0.043 0.500 0.279
6 F 0.141 0.000 0.325
7 F 0.411 0.215 0.696
8 F 0.411 0.785 0.696
9 F 0.589 0.215 0.304
10 F 0.589 0.785 0.304
11 F 0.859 0.000 0.675
12 F 0.957 0.500 0.721

Principal peaks in the range 10 to 90 degrees two-theta, most intense first:
hkl 0 2 1, 3.116 Å, 28.6°, I = 100; hkl 0 0 1, 6.052 Å, 14.6°, I = 91; hkl 1 0 -1, 3.743 Å, 23.8°, I = 83; hkl 1 2 -2, 2.122 Å, 42.6°, I = 76; hkl 1 0 1, 3.426 Å, 26.0°, I = 68; hkl 1 2 2, 2.001 Å, 45.3°, I = 36